The following is a calculated powder XRD pattern of CaV3O9. It was derived from a cell relaxed with PBE+U, using Cu Kα.
Neutral-atom scattering factors, no anomalous dispersion.

The 10 most intense peaks (2θ from 5° to 70°), sorted by position:
- 16.63 deg, d = 5.329 Å, intensity 17
- 22.58 deg, d = 3.938 Å, intensity 100
- 24.06 deg, d = 3.699 Å, intensity 68
- 24.60 deg, d = 3.619 Å, intensity 53
- 26.62 deg, d = 3.349 Å, intensity 19
- 27.12 deg, d = 3.288 Å, intensity 19
- 32.78 deg, d = 2.732 Å, intensity 18
- 33.63 deg, d = 2.665 Å, intensity 30
- 46.55 deg, d = 1.951 Å, intensity 16
- 49.59 deg, d = 1.838 Å, intensity 15

Crystal structure
```
data_CaV3O9
_space_group_name_H-M_alt 'P 1'
_space_group_IT_number 1
_cell_length_a 7.5699
_cell_length_b 7.5699
_cell_length_c 7.8769
_cell_angle_alpha 90.00
_cell_angle_beta 90.00
_cell_angle_gamma 107.05
loop_
_space_group_symop_operation_xyz
'x,y,z'
loop_
_atom_site_label
_atom_site_type_symbol
_atom_site_fract_x
_atom_site_fract_y
_atom_site_fract_z
Ca1 Ca 0.1063 0.1063 0.0000
Ca2 Ca 0.8937 0.8937 0.5000
V1 V 0.2523 0.2523 0.5000
V2 V 0.2914 0.6571 0.9697
V3 V 0.3429 0.7086 0.5303
V4 V 0.6571 0.2914 0.0303
V5 V 0.7086 0.3429 0.4697
V6 V 0.7477 0.7477 0.0000
O1 O 0.1215 0.1645 0.6714
O2 O 0.1645 0.1215 0.3286
O3 O 0.1702 0.8094 0.0028
O4 O 0.1784 0.4396 0.0310
O5 O 0.1906 0.8298 0.4972
O6 O 0.2605 0.4841 0.4351
O7 O 0.3465 0.6535 0.7500
O8 O 0.4396 0.1784 0.9690
O9 O 0.4841 0.2605 0.5649
O10 O 0.5159 0.7395 0.0649
O11 O 0.5604 0.8216 0.4690
O12 O 0.6535 0.3465 0.2500
O13 O 0.7395 0.5159 0.9351
O14 O 0.8094 0.1702 0.9972
O15 O 0.8216 0.5604 0.5310
O16 O 0.8298 0.1906 0.5028
O17 O 0.8355 0.8785 0.8286
O18 O 0.8785 0.8355 0.1714
```